The following is a computed PXRD pattern of WO3. It was derived from a GGA+U-relaxed structure, using CuKα.

Peak list (10 most intense, 10 to 90 degrees two-theta, most intense first)
- 2θ 23.13, I 100, (0 0 2)
- 2θ 32.79, I 54, (0 2 2)
- 2θ 22.92, I 50, (0 2 0)
- 2θ 32.94, I 28, (2 0 2)
- 2θ 58.73, I 21, (2 2 4)
- 2θ 40.52, I 20, (2 2 2)
- 2θ 53.27, I 20, (2 0 4)
- 2θ 53.17, I 19, (0 2 4)
- 2θ 47.28, I 19, (0 0 4)
- 2θ 52.87, I 19, (2 4 0)

Structural model:
a = 7.694 Å, b = 7.759 Å, c = 7.686 Å
α = 90.00°, β = 90.00°, γ = 90.00°
Fractional positions:
1 W 0.241 0.236 0.007
2 W 0.241 0.764 0.507
3 W 0.259 0.264 0.507
4 W 0.259 0.736 0.007
5 W 0.741 0.264 0.993
6 W 0.741 0.736 0.493
7 W 0.759 0.236 0.493
8 W 0.759 0.764 0.993
9 O 0.002 0.242 0.522
10 O 0.002 0.758 0.022
11 O 0.228 0.249 0.252
12 O 0.228 0.751 0.752
13 O 0.243 0.497 0.001
14 O 0.243 0.503 0.501
15 O 0.257 0.003 0.501
16 O 0.257 0.997 0.001
17 O 0.272 0.251 0.752
18 O 0.272 0.749 0.252
19 O 0.498 0.258 0.022
20 O 0.498 0.742 0.522
21 O 0.502 0.258 0.478
22 O 0.502 0.742 0.978
23 O 0.728 0.251 0.748
24 O 0.728 0.749 0.248
25 O 0.743 0.003 0.999
26 O 0.743 0.997 0.499
27 O 0.757 0.497 0.499
28 O 0.757 0.503 0.999
29 O 0.772 0.249 0.248
30 O 0.772 0.751 0.748
31 O 0.998 0.242 0.978
32 O 0.998 0.758 0.478